Structure and calculated X-ray diffraction stick pattern of MoPBrO4 (a crystal structure in Alexandria, relaxed with PBE+U; Cu Kα, 1.54184 Å).

Peak list (8 most intense, 2θ = 10–90°, sorted by position)
Position (°2θ)	intensity
14.5	38
26.8	100
29.1	41
32.0	35
36.2	28
37.8	37
40.0	44
50.7	26

Atomic structure:
Lattice parameters (Å, degrees): 9.4345 6.6521 6.4063 90.00 106.96 90.00
Space group C2/m (No. 12)
Asymmetric unit:
Mo 0.2380 0.0000 0.1561 [4 per cell]
P 0.1395 0.5000 0.2690 [4 per cell]
Br 0.0200 0.0000 0.7725 [4 per cell]
O 0.0282 0.5000 0.7686 [4 per cell]
O 0.1964 0.3208 0.1559 [8 per cell]
O 0.2185 0.5000 0.5159 [4 per cell]